Structure and simulated X-ray diffraction stick pattern of Cu13Te2 (a crystal structure in OQMD, relaxed with PBE; Cu Ka).
Kinematic intensities with the Lorentz-polarization factor, no thermal factor.

a = 7.2608 Å, b = 2.8027 Å, c = 30.4848 Å
α = 90.00°, β = 93.94°, γ = 90.00°
Element x y z (fractional)
Cu  0.0160  0.2500  0.3910
Cu  0.0485  0.2500  0.7464
Cu  0.0854  0.7500  0.5297
Cu  0.1221  0.2500  0.3136
Cu  0.1586  0.2500  0.6684
Cu  0.1886  0.7500  0.4507
Cu  0.2574  0.2500  0.5882
Cu  0.2947  0.7500  0.3731
Cu  0.3262  0.7500  0.7292
Cu  0.3608  0.2500  0.5094
Cu  0.4076  0.7500  0.2952
Cu  0.4279  0.7500  0.6470
Cu  0.4678  0.2500  0.4317
Cu  0.5322  0.7500  0.5683
Cu  0.5721  0.2500  0.3530
Cu  0.5924  0.2500  0.7048
Cu  0.6392  0.7500  0.4906
Cu  0.6738  0.2500  0.2708
Cu  0.7053  0.2500  0.6269
Cu  0.7426  0.7500  0.4118
Cu  0.8114  0.2500  0.5493
Cu  0.8414  0.7500  0.3316
Cu  0.8779  0.7500  0.6864
Cu  0.9146  0.2500  0.4703
Cu  0.9515  0.7500  0.2536
Cu  0.9840  0.7500  0.6090
Te  0.2410  0.2500  0.2263
Te  0.3059  0.2500  0.8098
Te  0.6941  0.7500  0.1902
Te  0.7590  0.7500  0.7737

The 8 most intense peaks (15 to 90 degrees two-theta), in order of rising 2θ:
| d/Å | I/Imax |
| --- | --- |
| 2.181 | 70 |
| 2.147 | 100 |
| 2.105 | 36 |
| 2.043 | 50 |
| 2.032 | 42 |
| 1.923 | 58 |
| 1.842 | 27 |
| 1.704 | 22 |

---

Structure and simulated X-ray diffraction stick pattern of InSb5Pt3 (a crystal structure in OQMD, relaxed with PBE; Cu Ka).
Kinematic intensities with the Lorentz-polarization factor, no thermal factor.

a = 5.6661 Å, b = 5.6661 Å, c = 8.1547 Å
α = 90.00°, β = 90.00°, γ = 120.00°
Element x y z (fractional)
In  0.0000  0.0000  0.0000
Sb  0.0000  0.0000  0.5000
Sb  0.3333  0.6667  0.2149
Sb  0.3333  0.6667  0.7851
Sb  0.6667  0.3333  0.2149
Sb  0.6667  0.3333  0.7851
Pt  0.0000  0.5000  0.5000
Pt  0.5000  0.0000  0.5000
Pt  0.5000  0.5000  0.5000

The 8 most intense peaks (15 to 90 degrees two-theta), in order of rising 2θ:
| d/Å | I/Imax |
| --- | --- |
| 3.136 | 21 |
| 2.833 | 31 |
| 2.718 | 25 |
| 2.454 | 24 |
| 2.349 | 52 |
| 2.327 | 19 |
| 2.102 | 100 |
| 1.417 | 22 |

---

Structure and simulated X-ray diffraction stick pattern of Ta7W8 (a crystal structure in OQMD, relaxed with PBE; Cu Ka).
Kinematic intensities with the Lorentz-polarization factor, no thermal factor.

a = 10.0045 Å, b = 10.0045 Å, c = 5.2225 Å
α = 90.00°, β = 90.00°, γ = 90.00°
Element x y z (fractional)
Ta  0.0000  0.0000  0.0000
Ta  0.0645  0.2624  0.0000
Ta  0.1072  0.1072  0.5000
Ta  0.2376  0.5645  0.5000
Ta  0.2624  0.0645  0.0000
Ta  0.3928  0.6072  0.0000
Ta  0.4355  0.7624  0.5000
Ta  0.5000  0.5000  0.5000
Ta  0.5645  0.2376  0.5000
Ta  0.6072  0.3928  0.0000
Ta  0.7376  0.9355  0.0000
Ta  0.7624  0.4355  0.5000
Ta  0.8928  0.8928  0.5000
Ta  0.9355  0.7376  0.0000
W  0.0349  0.3737  0.5000
W  0.1263  0.5349  0.0000
W  0.1842  0.8158  0.2510
W  0.1842  0.8158  0.7490
W  0.3158  0.3158  0.2490
W  0.3158  0.3158  0.7510
W  0.3737  0.0349  0.5000
W  0.4651  0.8737  0.0000
W  0.5349  0.1263  0.0000
W  0.6263  0.9651  0.5000
W  0.6842  0.6842  0.2490
W  0.6842  0.6842  0.7510
W  0.8158  0.1842  0.2510
W  0.8158  0.1842  0.7490
W  0.8737  0.4651  0.0000
W  0.9651  0.6263  0.5000

The 8 most intense peaks (15 to 90 degrees two-theta), in order of rising 2θ:
| d/Å | I/Imax |
| --- | --- |
| 2.426 | 77 |
| 2.358 | 36 |
| 2.315 | 34 |
| 2.255 | 64 |
| 2.201 | 100 |
| 2.149 | 46 |
| 1.434 | 23 |
| 1.415 | 33 |

---

Structure and simulated X-ray diffraction stick pattern of NbAuSO (a crystal structure in OQMD, relaxed with PBE; Cu Ka).
Kinematic intensities with the Lorentz-polarization factor, no thermal factor.

a = 5.3064 Å, b = 5.2914 Å, c = 10.0513 Å
α = 90.00°, β = 92.42°, γ = 90.00°
Element x y z (fractional)
Nb  0.0403  0.0000  0.4113
Nb  0.4381  0.3978  0.4075
Nb  0.5619  0.8978  0.5925
Nb  0.9597  0.5000  0.5887
Au  0.2552  0.6694  0.9991
Au  0.4252  0.9935  0.2192
Au  0.5748  0.4935  0.7808
Au  0.7448  0.1694  0.0009
S  0.1630  0.6398  0.2266
S  0.2229  0.7580  0.7690
S  0.7771  0.2580  0.2310
S  0.8370  0.1398  0.7734
O  0.2530  0.6966  0.4990
O  0.2597  0.2007  0.5617
O  0.7403  0.7007  0.4383
O  0.7470  0.1966  0.5010

The 8 most intense peaks (15 to 90 degrees two-theta), in order of rising 2θ:
| d/Å | I/Imax |
| --- | --- |
| 4.681 | 63 |
| 3.745 | 54 |
| 3.475 | 80 |
| 2.960 | 100 |
| 2.590 | 42 |
| 2.534 | 97 |
| 2.008 | 36 |
| 1.873 | 38 |

---

Structure and simulated X-ray diffraction stick pattern of LiZn6Au (a crystal structure in OQMD, relaxed with PBE; Cu Ka).
Kinematic intensities with the Lorentz-polarization factor, no thermal factor.

a = 4.3715 Å, b = 5.5415 Å, c = 4.8470 Å
α = 90.00°, β = 90.00°, γ = 90.00°
Element x y z (fractional)
Li  0.0000  0.0000  0.0000
Zn  0.0000  0.2410  0.5000
Zn  0.0000  0.5000  0.0318
Zn  0.0000  0.7590  0.5000
Zn  0.5000  0.0000  0.6790
Zn  0.5000  0.2417  0.1739
Zn  0.5000  0.7583  0.1739
Au  0.5000  0.5000  0.6855

The 8 most intense peaks (15 to 90 degrees two-theta), in order of rising 2θ:
| d/Å | I/Imax |
| --- | --- |
| 5.541 | 29 |
| 4.371 | 21 |
| 2.801 | 26 |
| 2.405 | 32 |
| 2.186 | 37 |
| 2.120 | 52 |
| 2.107 | 100 |
| 1.618 | 19 |

---

Structure and simulated X-ray diffraction stick pattern of SnPt2Pb2 (a crystal structure in OQMD, relaxed with PBE; Cu Ka).
Kinematic intensities with the Lorentz-polarization factor, no thermal factor.

a = 4.4792 Å, b = 4.4792 Å, c = 13.8073 Å
α = 90.00°, β = 90.00°, γ = 120.00°
Element x y z (fractional)
Sn  0.0000  0.0000  0.2500
Sn  0.0000  0.0000  0.7500
Pt  0.3333  0.6667  0.1514
Pt  0.3333  0.6667  0.3486
Pt  0.6667  0.3333  0.6514
Pt  0.6667  0.3333  0.8486
Pb  0.3333  0.6667  0.5719
Pb  0.3333  0.6667  0.9281
Pb  0.6667  0.3333  0.0719
Pb  0.6667  0.3333  0.4281

The 8 most intense peaks (15 to 90 degrees two-theta), in order of rising 2θ:
| d/Å | I/Imax |
| --- | --- |
| 3.879 | 38 |
| 3.382 | 25 |
| 2.966 | 33 |
| 2.579 | 36 |
| 2.250 | 89 |
| 2.240 | 100 |
| 1.587 | 30 |
| 1.295 | 31 |

---

Structure and simulated X-ray diffraction stick pattern of Nd2AgWC3 (a crystal structure in OQMD, relaxed with PBE; Cu Ka).
Kinematic intensities with the Lorentz-polarization factor, no thermal factor.

a = 6.4022 Å, b = 6.4022 Å, c = 5.8488 Å
α = 113.40°, β = 113.40°, γ = 32.41°
Element x y z (fractional)
Nd  0.0000  0.0000  0.0000
Nd  0.2128  0.2128  0.6649
Ag  0.4716  0.4716  0.5286
W  0.7852  0.7852  0.1896
C  0.3623  0.3623  0.1136
C  0.6285  0.6285  0.8991
C  0.8282  0.8282  0.5569

The 8 most intense peaks (15 to 90 degrees two-theta), in order of rising 2θ:
| d/Å | I/Imax |
| --- | --- |
| 3.050 | 42 |
| 2.918 | 39 |
| 2.799 | 33 |
| 2.717 | 100 |
| 2.638 | 83 |
| 2.092 | 21 |
| 1.897 | 20 |
| 1.787 | 19 |

---

Structure and simulated X-ray diffraction stick pattern of Sm3TeAs2 (a crystal structure in OQMD, relaxed with PBE; Cu Ka).
Kinematic intensities with the Lorentz-polarization factor, no thermal factor.

a = 4.2674 Å, b = 4.2674 Å, c = 10.6467 Å
α = 90.00°, β = 90.00°, γ = 120.00°
Element x y z (fractional)
Sm  0.0000  0.0000  0.0000
Sm  0.3333  0.6667  0.6938
Sm  0.6667  0.3333  0.3062
Te  0.0000  0.0000  0.5000
As  0.3333  0.6667  0.1603
As  0.6667  0.3333  0.8397

The 8 most intense peaks (15 to 90 degrees two-theta), in order of rising 2θ:
| d/Å | I/Imax |
| --- | --- |
| 3.036 | 100 |
| 2.160 | 32 |
| 2.134 | 39 |
| 1.746 | 20 |
| 1.518 | 10 |
| 1.364 | 11 |
| 1.351 | 17 |
| 1.237 | 11 |

---

Structure and simulated X-ray diffraction stick pattern of Ta11W2 (a crystal structure in OQMD, relaxed with PBE; Cu Ka).
Kinematic intensities with the Lorentz-polarization factor, no thermal factor.

a = 10.0535 Å, b = 10.0535 Å, c = 10.0535 Å
α = 31.06°, β = 31.06°, γ = 31.06°
Element x y z (fractional)
Ta  0.0000  0.0000  0.0000
Ta  0.0902  0.0902  0.5859
Ta  0.0902  0.5859  0.0902
Ta  0.1674  0.1674  0.1674
Ta  0.3520  0.3520  0.3520
Ta  0.4141  0.9098  0.9098
Ta  0.5859  0.0902  0.0902
Ta  0.6480  0.6480  0.6480
Ta  0.8326  0.8326  0.8326
Ta  0.9098  0.4141  0.9098
Ta  0.9098  0.9098  0.4141
W  0.4558  0.4558  0.4558
W  0.5442  0.5442  0.5442

The 8 most intense peaks (15 to 90 degrees two-theta), in order of rising 2θ:
| d/Å | I/Imax |
| --- | --- |
| 2.692 | 47 |
| 2.443 | 41 |
| 2.346 | 100 |
| 2.324 | 48 |
| 2.276 | 65 |
| 2.160 | 55 |
| 1.460 | 33 |
| 1.346 | 38 |

---

Structure and simulated X-ray diffraction stick pattern of TlCd2Fe (a crystal structure in OQMD, relaxed with PBE; Cu Ka).
Kinematic intensities with the Lorentz-polarization factor, no thermal factor.

a = 4.8492 Å, b = 4.8492 Å, c = 4.8492 Å
α = 60.00°, β = 60.00°, γ = 60.00°
Element x y z (fractional)
Tl  0.0000  0.0000  0.0000
Cd  0.5000  0.5000  0.5000
Cd  0.7500  0.7500  0.7500
Fe  0.2500  0.2500  0.2500

The 8 most intense peaks (15 to 90 degrees two-theta), in order of rising 2θ:
| d/Å | I/Imax |
| --- | --- |
| 3.959 | 10 |
| 3.429 | 10 |
| 2.425 | 100 |
| 2.068 | 6 |
| 1.714 | 17 |
| 1.533 | 4 |
| 1.400 | 34 |
| 1.212 | 11 |

---

Structure and simulated X-ray diffraction stick pattern of HoEr2FeCo6Ni2 (a crystal structure in OQMD, relaxed with PBE; Cu Ka).
Kinematic intensities with the Lorentz-polarization factor, no thermal factor.

a = 8.5378 Å, b = 8.5378 Å, c = 8.5378 Å
α = 33.73°, β = 33.73°, γ = 33.73°
Element x y z (fractional)
Ho  0.0000  0.0000  0.0000
Er  0.1392  0.1392  0.1392
Er  0.8608  0.8608  0.8608
Fe  0.5000  0.5000  0.5000
Co  0.0797  0.5840  0.5840
Co  0.4160  0.4160  0.9203
Co  0.4160  0.9203  0.4160
Co  0.5840  0.0797  0.5840
Co  0.5840  0.5840  0.0797
Co  0.9203  0.4160  0.4160
Ni  0.3338  0.3338  0.3338
Ni  0.6662  0.6662  0.6662

The 8 most intense peaks (15 to 90 degrees two-theta), in order of rising 2θ:
| d/Å | I/Imax |
| --- | --- |
| 2.687 | 52 |
| 2.477 | 55 |
| 2.468 | 40 |
| 2.136 | 38 |
| 2.109 | 100 |
| 1.429 | 24 |
| 1.347 | 21 |
| 1.238 | 20 |

---

Structure and simulated X-ray diffraction stick pattern of Sm5P (a crystal structure in OQMD, relaxed with PBE; Cu Ka).
Kinematic intensities with the Lorentz-polarization factor, no thermal factor.

a = 6.3901 Å, b = 6.3901 Å, c = 11.7860 Å
α = 90.00°, β = 90.00°, γ = 119.99°
Element x y z (fractional)
Sm  0.1649  0.3309  0.7500
Sm  0.1665  0.8335  0.5223
Sm  0.1665  0.8335  0.9777
Sm  0.3309  0.1649  0.2500
Sm  0.3310  0.6690  0.2500
Sm  0.6690  0.3310  0.7500
Sm  0.6691  0.8351  0.7500
Sm  0.8335  0.1665  0.0223
Sm  0.8335  0.1665  0.4777
Sm  0.8351  0.6691  0.2500
P  0.1682  0.8318  0.7500
P  0.8318  0.1682  0.2500

The 8 most intense peaks (15 to 90 degrees two-theta), in order of rising 2θ:
| d/Å | I/Imax |
| --- | --- |
| 4.034 | 54 |
| 3.201 | 47 |
| 2.946 | 56 |
| 2.809 | 91 |
| 2.767 | 40 |
| 2.694 | 100 |
| 1.794 | 50 |
| 1.404 | 35 |